Diffraction record for DyBe2Si. The powder diffractogram is computed, not measured: it uses a structure optimized by DFT (GGA-PBE) and Cu Kα.

Atomic structure:
```
data_DyBe2Si
_symmetry_space_group_name_H-M 'R -3 m'
_symmetry_Int_Tables_number 166
_symmetry_space_group_name_Hall '-R 3 2"'
_cell_length_a 3.7719
_cell_length_b 3.7719
_cell_length_c 14.6345
_cell_angle_alpha 90.00
_cell_angle_beta 90.00
_cell_angle_gamma 120.00
loop_
_atom_site_label
_atom_site_fract_x
_atom_site_fract_y
_atom_site_fract_z
_atom_site_occupancy
Dy1 0.0000 0.0000 0.0000 1
Be1 0.0000 0.0000 0.2021 1
Si1 0.0000 0.0000 0.5000 1
```

Peak list (12 most intense, 2θ = 5–70°, by intensity)
index	two_theta	Rel. int.
0 1 2	29.96	1000
1 0 4	36.88	892
1 0 1	27.99	675
0 0 3	18.19	477
0 2 4	62.23	432
1 1 0	48.25	335
0 1 8	57.80	316
1 1 3	51.97	310
0 1 5	41.42	270
0 2 1	56.71	97
2 0 5	65.44	70
0 0 9	56.60	33

***

Diffraction record for AcLaI2O. The powder diffractogram is computed, not measured: it uses a structure optimized by DFT (GGA-PBE) and Cu Kα.

Atomic structure:
```
data_AcLaI2O
_symmetry_space_group_name_H-M 'P 4/n m m'
_symmetry_Int_Tables_number 129
_cell_length_a 4.381
_cell_length_b 4.381
_cell_length_c 16.020
_cell_angle_alpha 90.00
_cell_angle_beta 90.00
_cell_angle_gamma 90.00
loop_
_symmetry_equiv_pos_as_xyz
'x,y,z'
'-x,-y,-z'
'-y+1/2,x,z'
'y+1/2,-x,-z'
'-x+1/2,-y+1/2,z'
'x+1/2,y+1/2,-z'
'y,-x+1/2,z'
'-y,x+1/2,-z'
'x+1/2,-y,-z'
'-x+1/2,y,z'
'-y,-x,-z'
'y,x,z'
'-x,y+1/2,-z'
'x,-y+1/2,z'
'y+1/2,x+1/2,-z'
'-y+1/2,-x+1/2,z'
loop_
_atom_site_label
_atom_site_fract_x
_atom_site_fract_y
_atom_site_fract_z
_atom_site_occupancy
Ac1 0.250 0.250 0.076 1
La1 0.250 0.250 0.574 1
I1 0.250 0.250 0.361 1
I2 0.250 0.250 0.807 1
O1 0.250 0.750 0.000 1
```

Peak list (12 most intense, 2θ = 5–70°, by intensity)
index	two_theta	Rel. int.
1 0 4	30.23	1000
1 1 0	28.82	774
2 1 4	51.96	443
2 0 0	41.21	329
1 0 3	26.31	235
1 1 7	49.54	171
3 1 0	67.62	139
1 1 4	36.67	124
0 0 2	11.05	119
2 2 0	59.70	110
0 0 1	5.52	106
3 0 4	68.37	97

***

Diffraction record for Tb4DyY6. The powder diffractogram is computed, not measured: it uses a structure optimized by DFT (GGA-PBE) and Cu Kα.

Atomic structure:
```
data_Tb4DyY6
_symmetry_space_group_name_H-M 'I -4 2 m'
_symmetry_Int_Tables_number 121
_symmetry_space_group_name_Hall 'I -4 2'
_cell_length_a 7.566
_cell_length_b 7.566
_cell_length_c 13.248
_cell_angle_alpha 90.00
_cell_angle_beta 90.00
_cell_angle_gamma 90.00
loop_
_atom_site_label
_atom_site_fract_x
_atom_site_fract_y
_atom_site_fract_z
_atom_site_occupancy
Tb1 0.168 0.168 0.423 1
Dy1 0.000 0.000 0.000 1
Y1 0.000 0.500 0.000 1
Y2 0.237 0.237 0.186 1
```

Peak list (12 most intense, 2θ = 5–70°, by intensity)
index	two_theta	Rel. int.
2 0 2	27.18	1000
1 1 4	31.78	897
3 0 1	36.25	618
2 1 3	33.36	581
0 0 2	13.37	528
2 2 0	33.50	438
4 2 2	56.11	312
2 0 4	36.04	213
2 0 8	61.08	181
3 2 5	55.92	180
1 0 5	35.91	175
2 0 0	23.52	169

***

Diffraction record for Rb2HfSnF6. The powder diffractogram is computed, not measured: it uses a structure optimized by DFT (GGA-PBE) and Cu Kα.

Atomic structure:
```
data_Rb2HfSnF6
_symmetry_space_group_name_H-M 'I 4/m m m'
_symmetry_Int_Tables_number 139
_symmetry_space_group_name_Hall '-I 4 2'
_cell_length_a 6.387
_cell_length_b 6.387
_cell_length_c 12.248
_cell_angle_alpha 90.00
_cell_angle_beta 90.00
_cell_angle_gamma 90.00
loop_
_atom_site_label
_atom_site_fract_x
_atom_site_fract_y
_atom_site_fract_z
_atom_site_occupancy
Rb1 0.000 0.500 0.250 1
Hf1 0.000 0.000 0.000 1
Sn1 0.000 0.000 0.500 1
F1 0.000 0.000 0.164 1
F2 0.222 0.222 0.000 1
```

Peak list (12 most intense, 2θ = 5–70°, by intensity)
index	two_theta	Rel. int.
1 1 2	24.49	1000
2 0 0	27.94	330
3 1 2	47.39	329
2 2 0	39.92	224
0 0 4	29.16	220
1 1 6	48.97	198
2 2 4	50.20	183
2 0 4	40.83	180
3 1 6	64.95	165
0 0 2	14.46	142
1 0 1	15.65	116
1 1 0	19.66	113

***

Diffraction record for Ac2DyScTe5. The powder diffractogram is computed, not measured: it uses a structure optimized by DFT (GGA-PBE) and Cu Kα.

Atomic structure:
```
data_Ac2DyScTe5
_symmetry_space_group_name_H-M 'C m c 21'
_symmetry_Int_Tables_number 36
_cell_length_a 4.461
_cell_length_b 18.743
_cell_length_c 14.310
_cell_angle_alpha 90.00
_cell_angle_beta 90.00
_cell_angle_gamma 90.00
loop_
_symmetry_equiv_pos_as_xyz
'x,y,z'
'-x,-y,z+1/2'
'-x,y,z'
'x,-y,z+1/2'
'x+1/2,y+1/2,z'
'-x+1/2,-y+1/2,z+1/2'
'-x+1/2,y+1/2,z'
'x+1/2,-y+1/2,z+1/2'
loop_
_atom_site_label
_atom_site_fract_x
_atom_site_fract_y
_atom_site_fract_z
_atom_site_occupancy
Ac1 0.000 0.105 0.000 1
Ac2 0.000 0.143 0.623 1
Dy1 0.000 0.206 0.324 1
Sc1 0.000 0.470 0.766 1
Te1 0.000 0.053 0.383 1
Te2 0.000 0.280 0.975 1
Te3 0.000 0.323 0.675 1
Te4 0.000 0.372 0.313 1
Te5 0.000 0.485 0.079 1
```

Peak list (12 most intense, 2θ = 5–70°, by intensity)
index	two_theta	Rel. int.
1 1 3	27.79	1000
1 5 2	33.65	344
0 6 1	29.26	331
2 0 0	40.45	292
0 6 2	31.21	220
0 2 5	32.72	172
2 6 1	50.69	143
1 3 2	27.55	139
1 1 2	23.98	134
1 5 3	36.54	128
1 5 1	31.80	121
0 2 3	20.90	114

***

Diffraction record for Ac2Cu9Ni. The powder diffractogram is computed, not measured: it uses a structure optimized by DFT (GGA-PBE) and Cu Kα.

Atomic structure:
```
data_Ac2Cu9Ni
_symmetry_space_group_name_H-M 'R -3 m'
_symmetry_Int_Tables_number 166
_symmetry_space_group_name_Hall '-R 3 2"'
_cell_length_a 5.2629
_cell_length_b 5.2629
_cell_length_c 25.0520
_cell_angle_alpha 90.00
_cell_angle_beta 90.00
_cell_angle_gamma 120.00
loop_
_atom_site_label
_atom_site_fract_x
_atom_site_fract_y
_atom_site_fract_z
_atom_site_occupancy
Ac1 0.0000 0.0000 0.1282 1
Cu1 0.0000 0.0000 0.3327 1
Cu2 0.0000 0.0000 0.5000 1
Cu3 0.0006 0.5003 0.0758 1
Ni1 0.0000 0.0000 0.0000 1
```

Peak list (12 most intense, 2θ = 5–70°, by intensity)
index	two_theta	Rel. int.
0 1 8	34.76	1000
1 1 0	34.07	954
1 1 6	40.52	754
1 0 4	24.15	722
0 2 1	39.71	687
2 0 5	43.63	621
1 0 7	31.79	606
1 1 9	47.55	439
0 2 4	42.20	417
1 2 8	61.43	387
0 1 11	44.47	377
0 1 5	26.44	348

***

Diffraction record for ThB4Ir4. The powder diffractogram is computed, not measured: it uses a structure optimized by DFT (GGA-PBE) and Cu Kα.

Atomic structure:
```
data_ThB4Ir4
_symmetry_space_group_name_H-M 'P 42/n m c'
_symmetry_Int_Tables_number 137
_cell_length_a 5.452
_cell_length_b 5.452
_cell_length_c 7.597
_cell_angle_alpha 90.00
_cell_angle_beta 90.00
_cell_angle_gamma 90.00
loop_
_symmetry_equiv_pos_as_xyz
'x,y,z'
'-x,-y,-z'
'-y+1/2,x,z+1/2'
'y+1/2,-x,-z+1/2'
'-x+1/2,-y+1/2,z'
'x+1/2,y+1/2,-z'
'y,-x+1/2,z+1/2'
'-y,x+1/2,-z+1/2'
'x+1/2,-y,-z'
'-x+1/2,y,z'
'-y,-x,-z+1/2'
'y,x,z+1/2'
'-x,y+1/2,-z'
'x,-y+1/2,z'
'y+1/2,x+1/2,-z+1/2'
'-y+1/2,-x+1/2,z+1/2'
loop_
_atom_site_label
_atom_site_fract_x
_atom_site_fract_y
_atom_site_fract_z
_atom_site_occupancy
Th1 0.250 0.750 0.250 1
B1 0.080 0.250 0.094 1
Ir1 0.002 0.250 0.393 1
```

Peak list (12 most intense, 2θ = 5–70°, by intensity)
index	two_theta	Rel. int.
2 1 1	38.79	1000
2 0 1	34.97	974
1 0 3	39.23	708
1 0 2	28.64	609
2 1 2	44.14	415
2 2 4	69.48	348
3 2 1	62.65	227
4 0 0	68.89	209
3 0 3	62.96	203
2 2 0	47.15	195
1 1 2	33.11	185
1 1 0	23.07	161

***

Diffraction record for Sc11Pd9Pt4. The powder diffractogram is computed, not measured: it uses a structure optimized by DFT (GGA-PBE) and Cu Kα.

Atomic structure:
```
data_Sc11Pd9Pt4
_symmetry_space_group_name_H-M 'C m m m'
_symmetry_Int_Tables_number 65
_symmetry_space_group_name_Hall '-C 2 2'
_cell_length_a 13.356
_cell_length_b 19.892
_cell_length_c 3.282
_cell_angle_alpha 90.00
_cell_angle_beta 90.00
_cell_angle_gamma 90.00
loop_
_atom_site_label
_atom_site_fract_x
_atom_site_fract_y
_atom_site_fract_z
_atom_site_occupancy
Sc1 0.000 0.000 0.000 1
Sc2 0.000 0.173 0.000 1
Sc3 0.000 0.367 0.000 1
Sc4 0.238 0.172 0.000 1
Sc5 0.239 0.500 0.000 1
Pd1 0.000 0.500 0.500 1
Pd2 0.112 0.260 0.500 1
Pd3 0.118 0.083 0.500 1
Pt1 0.157 0.406 0.500 1
```

Peak list (12 most intense, 2θ = 5–70°, by intensity)
index	two_theta	Rel. int.
0 6 1	38.60	1000
4 6 0	38.26	970
4 0 1	38.46	878
0 0 1	27.17	562
0 6 0	26.89	374
4 6 1	47.56	323
4 6 2	69.89	313
3 5 1	41.01	307
1 1 0	7.97	305
0 0 2	56.05	236
4 0 0	26.70	227
4 12 1	69.48	172

***

Diffraction record for PmDyTm2Th. The powder diffractogram is computed, not measured: it uses a structure optimized by DFT (GGA-PBE) and Cu Kα.

Atomic structure:
```
data_PmDyTm2Th
_symmetry_space_group_name_H-M 'P m m m'
_symmetry_Int_Tables_number 47
_cell_length_a 3.528
_cell_length_b 5.586
_cell_length_c 8.643
_cell_angle_alpha 90.00
_cell_angle_beta 90.00
_cell_angle_gamma 90.00
loop_
_symmetry_equiv_pos_as_xyz
'x,y,z'
'-x,-y,-z'
'-x,-y,z'
'x,y,-z'
'x,-y,-z'
'-x,y,z'
'-x,y,-z'
'x,-y,z'
loop_
_atom_site_label
_atom_site_fract_x
_atom_site_fract_y
_atom_site_fract_z
_atom_site_occupancy
Pm1 0.000 0.000 0.000 1
Dy1 0.500 0.000 0.500 1
Tm1 0.000 0.500 0.321 1
Th1 0.500 0.500 0.000 1
```

Peak list (12 most intense, 2θ = 5–70°, by intensity)
index	two_theta	Rel. int.
1 1 1	31.73	1000
0 2 0	32.05	400
0 1 3	35.04	267
1 1 2	36.61	263
1 1 5	62.06	205
1 0 2	32.77	199
1 3 1	56.92	194
0 1 0	15.87	178
0 0 3	31.04	167
0 0 2	20.55	165
0 1 2	26.07	158
1 2 2	46.49	153

***

Diffraction record for Pu3GaRu2. The powder diffractogram is computed, not measured: it uses a structure optimized by DFT (GGA-PBE) and Cu Kα.

Atomic structure:
```
data_Pu3GaRu2
_symmetry_space_group_name_H-M 'I m m m'
_symmetry_Int_Tables_number 71
_symmetry_space_group_name_Hall '-I 2 2'
_cell_length_a 4.171
_cell_length_b 4.308
_cell_length_c 13.810
_cell_angle_alpha 90.00
_cell_angle_beta 90.00
_cell_angle_gamma 90.00
loop_
_atom_site_label
_atom_site_fract_x
_atom_site_fract_y
_atom_site_fract_z
_atom_site_occupancy
Pu1 0.000 0.000 0.000 1
Pu2 0.000 0.500 0.178 1
Ga1 0.000 0.000 0.500 1
Ru1 0.000 0.500 0.367 1
```

Peak list (12 most intense, 2θ = 5–70°, by intensity)
index	two_theta	Rel. int.
1 1 2	32.57	1000
1 1 4	39.83	593
0 0 6	39.12	571
0 1 3	28.38	374
0 2 6	58.70	359
0 2 0	41.95	321
2 0 0	43.38	292
1 1 0	29.82	224
2 2 0	61.93	206
1 0 1	22.26	164
2 0 6	59.84	151
2 1 3	52.66	148

***

Diffraction record for In14SbPb. The powder diffractogram is computed, not measured: it uses a structure optimized by DFT (GGA-PBE) and Cu Kα.

Atomic structure:
```
data_In14SbPb
_symmetry_space_group_name_H-M 'A m m 2'
_symmetry_Int_Tables_number 38
_cell_length_a 10.933
_cell_length_b 7.234
_cell_length_c 11.194
_cell_angle_alpha 90.00
_cell_angle_beta 90.00
_cell_angle_gamma 90.00
loop_
_symmetry_equiv_pos_as_xyz
'x,y,z'
'-x,-y,z'
'-x,y,z'
'x,-y,z'
'x,y+1/2,z+1/2'
'-x,-y+1/2,z+1/2'
'-x,y+1/2,z+1/2'
'x,-y+1/2,z+1/2'
loop_
_atom_site_label
_atom_site_fract_x
_atom_site_fract_y
_atom_site_fract_z
_atom_site_occupancy
In1 0.000 0.000 0.000 1
In2 0.000 0.000 0.485 1
In3 0.000 0.239 0.742 1
In4 0.244 0.000 0.193 1
In5 0.246 0.237 0.934 1
In6 0.254 0.000 0.673 1
In7 0.500 0.241 0.131 1
Sb1 0.500 0.000 0.879 1
Pb1 0.500 0.000 0.384 1
```

Peak list (12 most intense, 2θ = 5–70°, by intensity)
index	two_theta	Rel. int.
2 2 2	33.76	1000
4 0 0	32.77	354
1 2 2	30.54	193
6 2 2	59.12	191
1 0 4	33.04	184
4 4 0	61.47	154
0 0 4	31.98	123
3 2 2	38.58	103
3 0 4	40.65	102
0 4 0	50.47	99
4 2 6	65.89	90
4 0 4	46.44	84

***

Diffraction record for Ta3Nb6Pd2. The powder diffractogram is computed, not measured: it uses a structure optimized by DFT (GGA-PBE) and Cu Kα.

Atomic structure:
```
data_Ta3Nb6Pd2
_symmetry_space_group_name_H-M 'C 1 2/m 1'
_symmetry_Int_Tables_number 12
_cell_length_a 4.487
_cell_length_b 10.018
_cell_length_c 9.037
_cell_angle_alpha 90.00
_cell_angle_beta 90.07
_cell_angle_gamma 90.00
loop_
_symmetry_equiv_pos_as_xyz
'x,y,z'
'-x,-y,-z'
'-x,y,-z'
'x,-y,z'
'x+1/2,y+1/2,z'
'-x+1/2,-y+1/2,-z'
'-x+1/2,y+1/2,-z'
'x+1/2,-y+1/2,z'
loop_
_atom_site_label
_atom_site_fract_x
_atom_site_fract_y
_atom_site_fract_z
_atom_site_occupancy
Ta1 0.000 0.000 0.000 1
Ta2 0.000 0.331 0.000 1
Nb1 0.000 0.166 0.269 1
Nb2 0.000 0.500 0.249 1
Pd1 0.000 0.352 0.500 1
```

Peak list (12 most intense, 2θ = 5–70°, by intensity)
index	two_theta	Rel. int.
1 3 2	39.09	1000
0 0 1	9.79	274
2 0 0	40.20	240
0 0 4	39.90	230
2 0 4	57.93	153
1 3 1	34.93	113
0 6 0	55.00	91
0 0 3	29.66	62
1 3 5	61.93	45
1 1 -3	37.05	29
2 0 3	50.74	28
1 1 1	23.86	27